[1]
LiU2PaN5: computed powder X-ray diffraction pattern (Cu Kα X-rays), based on a structure optimized by DFT (GGA-PBE).
Peak positions follow from Bragg's law for the DFT cell and can differ from measured ones.

Most intense lines, 10 to 80 degrees two-theta, low angle first:
2θ = 27.0°, I 64.1; 2θ = 27.8°, I 35.1; 2θ = 29.1°, I 34.8; 2θ = 29.4°, I 100.0; 2θ = 33.5°, I 52.4; 2θ = 34.7°, I 17.4; 2θ = 37.7°, I 87.4; 2θ = 45.0°, I 18.3; 2θ = 51.8°, I 22.7; 2θ = 62.3°, I 25.9

a b c (Å): 6.640 6.640 10.357
angles (deg): 90.00 90.00 150.14
Element x y z (fractional)
Li  0.026  0.974  0.500
Li  0.974  0.026  0.000
U  0.336  0.664  0.135
U  0.400  0.600  0.759
U  0.600  0.400  0.259
U  0.664  0.336  0.635
Pa  0.346  0.654  0.439
Pa  0.654  0.346  0.939
N  0.009  0.991  0.819
N  0.170  0.830  0.102
N  0.178  0.822  0.495
N  0.223  0.777  0.784
N  0.499  0.501  0.581
N  0.501  0.499  0.081
N  0.777  0.223  0.284
N  0.822  0.178  0.995
N  0.830  0.170  0.602
N  0.991  0.009  0.319



[2]
Li5S2I: computed powder X-ray diffraction pattern (Cu Kα X-rays), based on a structure optimized by DFT (GGA-PBE).
Peak positions follow from Bragg's law for the DFT cell and can differ from measured ones.

Most intense lines, 10 to 80 degrees two-theta, low angle first:
2θ = 13.2°, I 31.6; 2θ = 16.3°, I 46.3; 2θ = 25.1°, I 40.9; 2θ = 25.6°, I 28.2; 2θ = 25.7°, I 64.1; 2θ = 25.8°, I 100.0; 2θ = 28.9°, I 55.6; 2θ = 43.4°, I 28.2; 2θ = 44.4°, I 26.6; 2θ = 49.1°, I 28.0

a b c (Å): 10.428 8.785 6.981
angles (deg): 90.00 94.77 90.00
Element x y z (fractional)
Li  0.051  0.141  0.427
Li  0.051  0.359  0.927
Li  0.102  0.590  0.429
Li  0.102  0.910  0.929
Li  0.248  0.642  0.786
Li  0.248  0.858  0.286
Li  0.418  0.105  0.918
Li  0.418  0.395  0.418
Li  0.423  0.647  0.162
Li  0.423  0.853  0.662
Li  0.577  0.147  0.338
Li  0.577  0.353  0.838
Li  0.582  0.605  0.582
Li  0.582  0.895  0.082
Li  0.752  0.142  0.714
Li  0.752  0.358  0.214
Li  0.898  0.090  0.071
Li  0.898  0.410  0.571
Li  0.949  0.641  0.073
Li  0.949  0.859  0.573
S  0.020  0.622  0.749
S  0.020  0.878  0.249
S  0.348  0.641  0.479
S  0.348  0.859  0.979
S  0.652  0.141  0.021
S  0.652  0.359  0.521
S  0.980  0.122  0.751
S  0.980  0.378  0.251
I  0.329  0.120  0.506
I  0.329  0.380  0.006
I  0.671  0.620  0.994
I  0.671  0.880  0.494



[3]
Ba2LiCdBi6: computed powder X-ray diffraction pattern (Cu Kα X-rays), based on a structure optimized by DFT (GGA-PBE).
Peak positions follow from Bragg's law for the DFT cell and can differ from measured ones.

Most intense lines, 10 to 80 degrees two-theta, low angle first:
2θ = 17.8°, I 37.0; 2θ = 23.9°, I 26.3; 2θ = 27.4°, I 52.2; 2θ = 29.0°, I 46.6; 2θ = 29.2°, I 100.0; 2θ = 30.4°, I 65.1; 2θ = 32.5°, I 60.5; 2θ = 36.0°, I 31.6; 2θ = 38.7°, I 41.0; 2θ = 55.2°, I 25.3

a b c (Å): 6.961 7.299 7.560
angles (deg): 86.01 80.24 66.53
Element x y z (fractional)
Ba  0.190  0.311  0.246
Ba  0.810  0.689  0.754
Li  0.500  0.500  0.500
Cd  0.000  0.000  0.000
Bi  0.143  0.837  0.354
Bi  0.338  0.577  0.863
Bi  0.356  0.176  0.700
Bi  0.644  0.824  0.300
Bi  0.662  0.423  0.137
Bi  0.857  0.163  0.646



[4]
Hf3N2: computed powder X-ray diffraction pattern (Cu Kα X-rays), based on a structure optimized by DFT (GGA-PBE).
Peak positions follow from Bragg's law for the DFT cell and can differ from measured ones.

Most intense lines, 10 to 80 degrees two-theta, low angle first:
2θ = 32.6°, I 28.4; 2θ = 33.8°, I 48.1; 2θ = 35.8°, I 100.0; 2θ = 37.6°, I 84.3; 2θ = 44.7°, I 19.3; 2θ = 57.8°, I 38.1; 2θ = 60.6°, I 22.7; 2θ = 64.3°, I 17.4; 2θ = 68.7°, I 39.1; 2θ = 69.9°, I 14.5

a b c (Å): 3.191 3.191 23.838
angles (deg): 90.00 90.00 120.00
Element x y z (fractional)
Hf  0.000  0.000  0.000
Hf  0.000  0.000  0.222
Hf  0.000  0.000  0.446
Hf  0.333  0.667  0.112
Hf  0.333  0.667  0.667
Hf  0.333  0.667  0.889
Hf  0.667  0.333  0.333
Hf  0.667  0.333  0.556
Hf  0.667  0.333  0.779
N  0.000  0.000  0.610
N  0.000  0.000  0.726
N  0.333  0.667  0.277
N  0.333  0.667  0.392
N  0.667  0.333  0.059
N  0.667  0.333  0.944



[5]
KCrCl2: computed powder X-ray diffraction pattern (Cu Kα X-rays), based on a structure optimized by DFT (GGA-PBE).
Peak positions follow from Bragg's law for the DFT cell and can differ from measured ones.

Most intense lines, 10 to 80 degrees two-theta, low angle first:
2θ = 21.6°, I 40.3; 2θ = 27.8°, I 100.0; 2θ = 32.9°, I 23.5; 2θ = 35.1°, I 79.4; 2θ = 41.5°, I 24.3; 2θ = 43.9°, I 19.4; 2θ = 45.3°, I 46.6; 2θ = 50.4°, I 24.7; 2θ = 57.4°, I 31.7; 2θ = 69.1°, I 17.2

a b c (Å): 5.119 5.119 4.121
angles (deg): 90.00 90.00 90.00
Element x y z (fractional)
K  0.000  0.000  0.000
Cr  0.500  0.500  0.500
Cl  0.000  0.500  0.508
Cl  0.500  0.000  0.492



[6]
Np2GaNi3Ge4: computed powder X-ray diffraction pattern (Cu Kα X-rays), based on a structure optimized by DFT (GGA-PBE).
Peak positions follow from Bragg's law for the DFT cell and can differ from measured ones.

Most intense lines, 10 to 80 degrees two-theta, low angle first:
2θ = 23.5°, I 25.8; 2θ = 30.9°, I 22.4; 2θ = 34.7°, I 59.7; 2θ = 35.8°, I 100.0; 2θ = 44.2°, I 43.7; 2θ = 50.7°, I 25.6; 2θ = 57.4°, I 28.4; 2θ = 64.3°, I 14.1; 2θ = 69.5°, I 21.5; 2θ = 75.8°, I 24.9

a b c (Å): 4.098 4.098 10.014
angles (deg): 90.00 90.00 90.00
Element x y z (fractional)
Np  0.000  0.500  0.243
Np  0.500  0.000  0.757
Ga  0.000  0.000  0.500
Ni  0.000  0.500  0.879
Ni  0.500  0.000  0.121
Ni  0.500  0.500  0.500
Ge  0.000  0.000  0.000
Ge  0.000  0.500  0.648
Ge  0.500  0.000  0.352
Ge  0.500  0.500  0.000



[7]
CePm4U3N8: computed powder X-ray diffraction pattern (Cu Kα X-rays), based on a structure optimized by DFT (GGA-PBE).
Peak positions follow from Bragg's law for the DFT cell and can differ from measured ones.

Most intense lines, 10 to 80 degrees two-theta, low angle first:
2θ = 15.4°, I 6.8; 2θ = 31.0°, I 100.0; 2θ = 36.0°, I 68.7; 2θ = 51.8°, I 23.8; 2θ = 51.9°, I 24.0; 2θ = 61.6°, I 34.8; 2θ = 61.7°, I 11.4; 2θ = 64.6°, I 4.0; 2θ = 64.8°, I 12.2; 2θ = 76.3°, I 7.6

a b c (Å): 7.065 7.065 7.065
angles (deg): 59.87 59.87 59.87
Element x y z (fractional)
Ce  0.000  0.000  0.000
Pm  0.000  0.000  0.500
Pm  0.000  0.500  0.000
Pm  0.500  0.000  0.000
Pm  0.500  0.500  0.500
U  0.000  0.500  0.500
U  0.500  0.000  0.500
U  0.500  0.500  0.000
N  0.248  0.248  0.722
N  0.248  0.722  0.248
N  0.262  0.262  0.262
N  0.278  0.752  0.752
N  0.722  0.248  0.248
N  0.738  0.738  0.738
N  0.752  0.278  0.752
N  0.752  0.752  0.278



What did the seventh record say?
CePm4U3N8: computed powder X-ray diffraction pattern (Cu Kα X-rays), based on a structure optimized by DFT (GGA-PBE).
Peak positions follow from Bragg's law for the DFT cell and can differ from measured ones.

Most intense lines, 10 to 80 degrees two-theta, low angle first:
2θ = 15.4°, I 6.8; 2θ = 31.0°, I 100.0; 2θ = 36.0°, I 68.7; 2θ = 51.8°, I 23.8; 2θ = 51.9°, I 24.0; 2θ = 61.6°, I 34.8; 2θ = 61.7°, I 11.4; 2θ = 64.6°, I 4.0; 2θ = 64.8°, I 12.2; 2θ = 76.3°, I 7.6

a b c (Å): 7.065 7.065 7.065
angles (deg): 59.87 59.87 59.87
Element x y z (fractional)
Ce  0.000  0.000  0.000
Pm  0.000  0.000  0.500
Pm  0.000  0.500  0.000
Pm  0.500  0.000  0.000
Pm  0.500  0.500  0.500
U  0.000  0.500  0.500
U  0.500  0.000  0.500
U  0.500  0.500  0.000
N  0.248  0.248  0.722
N  0.248  0.722  0.248
N  0.262  0.262  0.262
N  0.278  0.752  0.752
N  0.722  0.248  0.248
N  0.738  0.738  0.738
N  0.752  0.278  0.752
N  0.752  0.752  0.278